# 1
For Ce2HoTm3As6, a structure optimized by DFT (PBE) gives the simulated PXRD pattern in this record (Cu Kα (weighted mean of Kα1 and Kα2)).
Kinematic intensities with the Lorentz-polarization factor, no thermal factor.

abc: 17.937 4.125 8.237
angles: 90.00 103.14 90.00
Space group C2/m (No. 12)
Unique sites:
1 Ce 0.166 0.000 0.331
2 Ho 0.000 0.500 0.000
3 Tm 0.000 0.500 0.500
4 Tm 0.167 0.000 0.834
5 As 0.002 0.000 0.749
6 As 0.165 0.500 0.588
7 As 0.167 0.500 0.078

The 10 most intense peaks (2θ from 5° to 70°), by angle:
13.2 deg, rel. 1
26.5 deg, rel. 22
30.7 deg, rel. 100
43.9 deg, rel. 50
44.0 deg, rel. 25
52.0 deg, rel. 8
52.1 deg, rel. 3
54.5 deg, rel. 20
54.7 deg, rel. 6
63.9 deg, rel. 12

# 2
For Ce2YHo3As6, a structure optimized by DFT (PBE) gives the simulated PXRD pattern in this record (Cu Kα (weighted mean of Kα1 and Kα2)).
Kinematic intensities with the Lorentz-polarization factor, no thermal factor.

abc: 18.038 4.147 8.284
angles: 90.00 103.19 90.00
Space group C2/m (No. 12)
Unique sites:
1 Ce 0.166 0.000 0.332
2 Y 0.000 0.500 0.000
3 Ho 0.000 0.500 0.500
4 Ho 0.166 0.000 0.834
5 As 0.001 0.000 0.749
6 As 0.166 0.500 0.586
7 As 0.167 0.500 0.080

The 10 most intense peaks (2θ from 5° to 70°), by angle:
13.1 deg, rel. 2
25.2 deg, rel. 1
26.3 deg, rel. 17
30.5 deg, rel. 100
43.7 deg, rel. 74
51.7 deg, rel. 8
51.8 deg, rel. 1
54.2 deg, rel. 26
63.5 deg, rel. 12
70.0 deg, rel. 2

# 3
For Ce4As3I, a structure optimized by DFT (PBE) gives the simulated PXRD pattern in this record (Cu Kα (weighted mean of Kα1 and Kα2)).
Kinematic intensities with the Lorentz-polarization factor, no thermal factor.

abc: 4.1659 4.1659 15.2388
angles: 90.00 90.00 120.00
Space group P-3m1 (No. 164)
Unique sites:
1 Ce 0.3333 0.6667 0.3412
2 Ce 0.3333 0.6667 0.8849
3 As 0.0000 0.0000 0.0000
4 As 0.0000 0.0000 0.2349
5 I 0.0000 0.0000 0.5000

The 10 most intense peaks (2θ from 5° to 70°), by angle:
27.4 deg, rel. 100
30.4 deg, rel. 17
34.2 deg, rel. 87
38.7 deg, rel. 9
43.4 deg, rel. 54
43.6 deg, rel. 11
48.9 deg, rel. 14
52.1 deg, rel. 17
56.4 deg, rel. 20
66.5 deg, rel. 10